1.
Zr6Al2NiH10: theoretical powder diffraction line list (Cu Kα (λ = 1.5418 Å)), based on a DFT-relaxed cell (GGA-PBE, the Materials Project).

Most intense lines, 2θ from 15° to 90°, low angle first:
2θ (°)	Rel. int.	index
22.0	9.4	1 1 0
33.3	100.0	1 1 2
33.9	53.8	2 1 0
35.7	52.0	2 0 2
36.2	18.2	2 1 1
38.6	31.3	3 0 0
42.4	19.4	2 1 2
50.5	14.1	0 0 4
58.6	10.1	4 0 2
62.3	17.5	2 1 4
63.4	25.4	3 2 2
65.4	10.0	3 0 4

Cell and atoms:
Lattice parameters (Å, degrees): 8.0808 8.0808 7.2231 90.00 90.00 120.00
Space group P-62c (No. 190)
Asymmetric unit:
1 Zr 0.0000 0.7376 0.0000 x6
2 Zr 0.0466 0.4218 0.2500 x6
3 Al 0.3333 0.6667 0.5513 x4
4 Ni 0.0000 0.0000 0.2500 x2
5 H 0.0000 0.0000 0.0000 x2
6 H 0.0000 0.2796 0.0000 x6
7 H 0.1143 0.7093 0.2500 x6
8 H 0.1177 0.8785 0.7500 x6



2.
GdAl6Fe6: theoretical powder diffraction line list (Cu Kα (λ = 1.5418 Å)), based on a DFT-relaxed cell (GGA-PBE, the Materials Project).

Most intense lines, 2θ from 15° to 90°, low angle first:
2θ (°)	Rel. int.	index
20.6	25.2	1 1 0
29.3	26.9	1 1 2
29.4	76.3	1 2 1
36.0	21.9	2 0 0
41.8	100.0	0 0 4
41.9	93.2	2 2 0
42.1	31.5	1 3 2
42.4	41.4	0 4 0
47.1	40.3	2 2 2
61.0	41.4	0 4 4
76.3	25.0	4 0 0
77.2	21.7	2 6 0

Cell and atoms:
Lattice parameters (Å, degrees): 4.993 8.536 8.644 90.00 90.00 90.00
Space group Immm (No. 71)
Asymmetric unit:
1 Gd 0.000 0.000 0.000 x2
2 Al 0.000 0.000 0.346 x4
3 Al 0.000 0.337 0.000 x4
4 Al 0.000 0.500 0.307 x4
5 Fe 0.000 0.259 0.500 x4
6 Fe 0.250 0.250 0.250 x8